Entry 1:
Calculated X-ray powder pattern
Compound: LiMgTlHg2
Radiation: copper Kα
Structure: a crystal structure in Alexandria, relaxed with GGA-PBE
Peak positions follow from Bragg's law for the DFT cell and can differ from measured ones.

Principal peaks in the range 2θ = 5–70°, in order of falling intensity:
2.436 Å, intensity 100, hkl 1 3 2
2.880 Å, intensity 77, hkl 1 1 2
3.227 Å, intensity 48, hkl 0 4 0
3.025 Å, intensity 41, hkl 0 2 3
2.569 Å, intensity 31, hkl 0 0 4
3.295 Å, intensity 23, hkl 1 1 1
2.010 Å, intensity 20, hkl 0 4 4
1.769 Å, intensity 19, hkl 1 1 5
1.564 Å, intensity 18, hkl 1 7 2
6.454 Å, intensity 18, hkl 0 2 0
5.465 Å, intensity 16, hkl 0 2 1
2.767 Å, intensity 16, hkl 1 3 0

Cell and atoms:
a b c (Å): 3.6123 12.9077 10.2744
angles (deg): 90.00 90.00 90.00
Space group Cmcm (No. 63)
Symmetry-distinct sites (fractional):
Li1 0.0000 0.0000 0.0000
Mg1 0.0000 0.1561 0.2500
Tl1 0.0000 0.1186 0.7500
Hg1 0.0000 0.3448 0.5271

***

Entry 2:
Calculated X-ray powder pattern
Compound: Sm6TlTe3Se2
Radiation: copper Kα
Structure: a crystal structure in Alexandria, relaxed with GGA-PBE
Peak positions follow from Bragg's law for the DFT cell and can differ from measured ones.

Principal peaks in the range 2θ = 5–70°, in order of falling intensity:
3.088 Å, intensity 100, hkl 1 1 -2
2.169 Å, intensity 25, hkl 5 1 2
2.200 Å, intensity 25, hkl 7 1 -2
1.761 Å, intensity 13, hkl 6 2 0
2.225 Å, intensity 13, hkl 2 0 -4
2.141 Å, intensity 12, hkl 0 2 0
1.543 Å, intensity 8, hkl 2 2 -4
1.789 Å, intensity 7, hkl 4 0 4
1.824 Å, intensity 6, hkl 8 0 -4
1.373 Å, intensity 6, hkl 4 2 4
1.359 Å, intensity 6, hkl 1 3 -2
1.375 Å, intensity 6, hkl 11 1 2

Cell and atoms:
a b c (Å): 19.1725 4.2828 8.9002
angles (deg): 90.00 104.59 90.00
Space group C2/m (No. 12)
Symmetry-distinct sites (fractional):
Sm1 0.0067 0.0000 0.2505
Sm2 0.1656 0.5000 0.1006
Sm3 0.1735 0.5000 0.5672
Tl1 0.0000 0.5000 0.0000
Te1 0.0000 0.5000 0.5000
Te2 0.1654 0.0000 0.8302
Se1 0.1679 0.0000 0.3340

***

Entry 3:
Calculated X-ray powder pattern
Compound: PaTa2BeC4
Radiation: copper Kα
Structure: a crystal structure in Alexandria, relaxed with GGA-PBE
Peak positions follow from Bragg's law for the DFT cell and can differ from measured ones.

Principal peaks in the range 2θ = 5–70°, in order of falling intensity:
2.963 Å, intensity 100, hkl 0 2 3
2.669 Å, intensity 55, hkl 1 1 2
2.638 Å, intensity 31, hkl 0 4 0
2.171 Å, intensity 30, hkl 1 3 2
2.317 Å, intensity 26, hkl 1 3 1
1.762 Å, intensity 23, hkl 1 1 5
1.593 Å, intensity 17, hkl 1 3 5
1.413 Å, intensity 17, hkl 2 2 3
1.676 Å, intensity 16, hkl 1 5 2
2.688 Å, intensity 12, hkl 0 0 4
1.579 Å, intensity 11, hkl 0 6 3
1.475 Å, intensity 10, hkl 0 2 7

Cell and atoms:
a b c (Å): 3.2140 10.5503 10.7539
angles (deg): 90.00 90.00 90.00
Space group Cmcm (No. 63)
Symmetry-distinct sites (fractional):
Pa1 0.0000 0.1080 0.2500
Ta1 0.0000 0.3683 0.0525
Be1 0.0000 0.1611 0.7500
C1 0.0000 0.0000 0.0000
C2 0.0000 0.2706 0.6212
C3 0.0000 0.4329 0.2500

***

Entry 4:
Calculated X-ray powder pattern
Compound: HfO2
Radiation: copper Kα
Structure: a crystal structure in Alexandria, relaxed with GGA-PBE
Peak positions follow from Bragg's law for the DFT cell and can differ from measured ones.

Principal peaks in the range 2θ = 5–70°, in order of falling intensity:
2.955 Å, intensity 100, hkl 1 2 1
1.536 Å, intensity 16, hkl 3 2 1
2.542 Å, intensity 15, hkl 2 0 0
1.788 Å, intensity 14, hkl 2 4 0
1.524 Å, intensity 14, hkl 1 6 1
1.826 Å, intensity 14, hkl 2 0 2
2.623 Å, intensity 13, hkl 0 0 2
2.515 Å, intensity 13, hkl 0 4 0
1.816 Å, intensity 12, hkl 0 4 2
1.571 Å, intensity 11, hkl 1 2 3
1.478 Å, intensity 9, hkl 2 4 2
3.631 Å, intensity 5, hkl 0 2 1

Cell and atoms:
a b c (Å): 5.0849 10.0617 5.2463
angles (deg): 90.00 90.00 90.00
Space group Pbca (No. 61)
Symmetry-distinct sites (fractional):
Hf1 0.2460 0.1155 0.0356
O1 0.0024 0.0225 0.7386
O2 0.1243 0.7110 0.3725